Record 1
The following is a simulated PXRD pattern of Sm6InHg6. It was derived from the PBE geometry in Alexandria, using CuKα.
Lines closer than 0.1° are merged.

Largest 10 diffraction maxima, by angle, 2θ = 10–80°:
| index | d [Å] | 2θ/deg | I (rel.) |
| --- | --- | --- | --- |
| 0 0 2 | 5.353 | 16.6 | 20.6 |
| 2 0 0 | 2.736 | 32.7 | 48.0 |
| 1 1 2 | 2.721 | 32.9 | 46.3 |
| 0 0 4 | 2.676 | 33.5 | 30.2 |
| 2 0 2 | 2.436 | 36.9 | 100.0 |
| 1 0 4 | 2.404 | 37.4 | 15.4 |
| 2 0 4 | 1.913 | 47.5 | 18.8 |
| 2 2 0 | 1.580 | 58.4 | 26.2 |
| 1 1 6 | 1.554 | 59.5 | 18.9 |
| 2 2 4 | 1.360 | 69.0 | 22.8 |

Structural model:
```
data_Sm6InHg6
_chemical_formula_sum 'Sm6 In1 Hg6'
_space_group_name_H-M_alt 'P 6/m m m'
_space_group_IT_number 191
_space_group_name_Hall '-P 6 2'
_cell_length_a 6.3188
_cell_length_b 6.3188
_cell_length_c 10.7059
_cell_angle_alpha 90.00
_cell_angle_beta 90.00
_cell_angle_gamma 120.00
loop_
_atom_site_label
_atom_site_fract_x
_atom_site_fract_y
_atom_site_fract_z
_atom_site_occupancy
Sm1 0.0000 0.0000 0.1809 1
Sm2 0.3333 0.6667 0.0000 1
Sm3 0.3333 0.6667 0.5000 1
In1 0.0000 0.0000 0.5000 1
Hg1 0.0000 0.5000 0.2515 1
```

Record 2
The following is a simulated PXRD pattern of TbMg12Sc3. It was derived from the PBE geometry in Alexandria, using CuKα.
Lines closer than 0.1° are merged.

Largest 10 diffraction maxima, by angle, 2θ = 10–80°:
| index | d [Å] | 2θ/deg | I (rel.) |
| --- | --- | --- | --- |
| 1 0 0 | 4.526 | 19.6 | 19.8 |
| 1 0 1 | 4.396 | 20.2 | 12.1 |
| 1 0 4 | 3.230 | 27.6 | 17.0 |
| 1 1 4 | 2.629 | 34.1 | 100.0 |
| 0 0 8 | 2.305 | 39.1 | 16.2 |
| 2 0 0 | 2.263 | 39.8 | 31.8 |
| 2 0 8 | 1.615 | 57.0 | 20.5 |
| 2 2 0 | 1.600 | 57.6 | 11.6 |
| 1 1 12 | 1.385 | 67.6 | 11.4 |
| 3 1 4 | 1.367 | 68.7 | 24.4 |

Structural model:
```
data_TbMg12Sc3
_chemical_formula_sum 'Tb1 Mg12 Sc3'
_space_group_name_H-M_alt 'P 4/m m m'
_space_group_IT_number 123
_space_group_name_Hall '-P 4 2'
_cell_length_a 4.526
_cell_length_b 4.526
_cell_length_c 18.443
_cell_angle_alpha 90.00
_cell_angle_beta 90.00
_cell_angle_gamma 90.00
loop_
_atom_site_label
_atom_site_fract_x
_atom_site_fract_y
_atom_site_fract_z
_atom_site_occupancy
Tb1 0.000 0.000 0.000 1
Mg1 0.000 0.500 0.132 1
Mg2 0.000 0.500 0.377 1
Mg3 0.500 0.500 0.000 1
Mg4 0.500 0.500 0.255 1
Mg5 0.500 0.500 0.500 1
Sc1 0.000 0.000 0.255 1
Sc2 0.000 0.000 0.500 1
```

Record 3
The following is a simulated PXRD pattern of Rb2Tl7Hg. It was derived from the PBE geometry in Alexandria, using CuKα.
Lines closer than 0.1° are merged.

Largest 10 diffraction maxima, by angle, 2θ = 10–80°:
| index | d [Å] | 2θ/deg | I (rel.) |
| --- | --- | --- | --- |
| 0 0 2 | 6.326 | 14.0 | 39.4 |
| 1 0 1 | 4.976 | 17.8 | 42.8 |
| 1 0 3 | 3.327 | 26.8 | 50.4 |
| 1 1 2 | 3.274 | 27.2 | 100.0 |
| 2 0 0 | 2.706 | 33.1 | 93.8 |
| 1 1 4 | 2.438 | 36.9 | 90.4 |
| 2 1 3 | 2.099 | 43.1 | 28.4 |
| 2 2 0 | 1.913 | 47.5 | 34.6 |
| 3 1 2 | 1.652 | 55.6 | 28.1 |
| 3 1 4 | 1.505 | 61.6 | 42.0 |

Structural model:
```
data_Rb2Tl7Hg
_chemical_formula_sum 'Rb2 Tl7 Hg1'
_space_group_name_H-M_alt 'P -4 m 2'
_space_group_IT_number 115
_cell_length_a 5.412
_cell_length_b 5.412
_cell_length_c 12.652
_cell_angle_alpha 90.00
_cell_angle_beta 90.00
_cell_angle_gamma 90.00
loop_
_space_group_symop_operation_xyz
'x,y,z'
'y,-x,-z'
'-x,-y,z'
'-y,x,-z'
'-x,y,z'
'-y,-x,-z'
'x,-y,z'
'y,x,-z'
loop_
_atom_site_label
_atom_site_fract_x
_atom_site_fract_y
_atom_site_fract_z
_atom_site_occupancy
Rb1 0.000 0.500 0.246 1
Tl1 0.000 0.000 0.000 1
Tl2 0.000 0.000 0.500 1
Tl3 0.000 0.500 0.632 1
Tl4 0.000 0.500 0.876 1
Tl5 0.500 0.500 0.500 1
Hg1 0.500 0.500 0.000 1
```

Record 4
The following is a simulated PXRD pattern of RbTl2InHg. It was derived from the PBE geometry in Alexandria, using CuKα.
Lines closer than 0.1° are merged.

Largest 10 diffraction maxima, by angle, 2θ = 10–80°:
| index | d [Å] | 2θ/deg | I (rel.) |
| --- | --- | --- | --- |
| 0 1 1 | 4.816 | 18.4 | 32.2 |
| 1 0 1 | 4.759 | 18.6 | 33.4 |
| 0 1 3 | 3.351 | 26.6 | 25.5 |
| 1 0 3 | 3.332 | 26.8 | 30.0 |
| 1 1 2 | 3.182 | 28.0 | 100.0 |
| 0 2 0 | 2.586 | 34.7 | 44.7 |
| 2 0 0 | 2.551 | 35.2 | 43.0 |
| 1 1 4 | 2.443 | 36.8 | 89.6 |
| 0 1 5 | 2.352 | 38.3 | 24.1 |
| 2 2 0 | 1.816 | 50.2 | 31.5 |

Structural model:
```
data_RbTl2InHg
_chemical_formula_sum 'Rb2 Tl4 In2 Hg2'
_space_group_name_H-M_alt 'I m m 2'
_space_group_IT_number 44
_cell_length_a 5.102
_cell_length_b 5.172
_cell_length_c 13.201
_cell_angle_alpha 90.00
_cell_angle_beta 90.00
_cell_angle_gamma 90.00
loop_
_space_group_symop_operation_xyz
'x,y,z'
'-x,-y,z'
'-x,y,z'
'x,-y,z'
'x+1/2,y+1/2,z+1/2'
'-x+1/2,-y+1/2,z+1/2'
'-x+1/2,y+1/2,z+1/2'
'x+1/2,-y+1/2,z+1/2'
loop_
_atom_site_label
_atom_site_fract_x
_atom_site_fract_y
_atom_site_fract_z
_atom_site_occupancy
Rb1 0.000 0.000 0.000 1
Tl1 0.000 0.000 0.617 1
Tl2 0.000 0.500 0.259 1
In1 0.000 0.500 0.757 1
Hg1 0.000 0.000 0.388 1
```

Record 5
The following is a simulated PXRD pattern of Na2UTeO7. It was derived from the PBE geometry in Alexandria, using CuKα.
Lines closer than 0.1° are merged.

Largest 10 diffraction maxima, by angle, 2θ = 10–80°:
| index | d [Å] | 2θ/deg | I (rel.) |
| --- | --- | --- | --- |
| 0 1 1 | 6.200 | 14.3 | 31.2 |
| 1 1 1 | 4.812 | 18.4 | 100.0 |
| 0 2 2 | 3.100 | 28.8 | 59.7 |
| 2 2 0 | 3.085 | 28.9 | 59.3 |
| 1 3 1 | 2.936 | 30.4 | 23.7 |
| 2 0 2 | 2.708 | 33.1 | 26.1 |
| 2 4 2 | 1.883 | 48.3 | 34.5 |
| 2 2 4 | 1.631 | 56.4 | 17.2 |
| 4 2 2 | 1.625 | 56.7 | 18.8 |
| 0 6 2 | 1.590 | 58.0 | 14.8 |

Structural model:
```
data_Na2UTeO7
_chemical_formula_sum 'Na8 U4 Te4 O28'
_space_group_name_H-M_alt 'A m a 2'
_space_group_IT_number 40
_cell_length_a 7.631
_cell_length_b 10.484
_cell_length_c 7.689
_cell_angle_alpha 90.00
_cell_angle_beta 90.00
_cell_angle_gamma 90.00
loop_
_space_group_symop_operation_xyz
'x,y,z'
'-x,-y,z'
'-x+1/2,y,z'
'x+1/2,-y,z'
'x,y+1/2,z+1/2'
'-x,-y+1/2,z+1/2'
'-x+1/2,y+1/2,z+1/2'
'x+1/2,-y+1/2,z+1/2'
loop_
_atom_site_label
_atom_site_fract_x
_atom_site_fract_y
_atom_site_fract_z
_atom_site_occupancy
Na1 0.000 0.000 0.000 1
Na2 0.250 0.231 0.732 1
U1 0.250 0.239 0.244 1
Te1 0.000 0.000 0.474 1
O1 0.014 0.370 0.799 1
O2 0.049 0.378 0.156 1
O3 0.250 0.055 0.465 1
O4 0.250 0.148 0.031 1
O5 0.250 0.330 0.453 1
```